This entry pairs a crystal structure of CsSeCl4 with its simulated powder diffractogram. Radiation: Cu Kα (weighted mean of Kα1 and Kα2). Structure: DFT lattice parameters and positions (PBE).

The 10 most intense peaks (2θ from 15° to 90°), by angle:
2theta	Rel. int.	(hkl)
18.70	100.0	2 0 0
26.56	60.8	2 1 1
28.15	31.6	1 1 2
28.66	38.4	2 0 2
30.82	27.0	0 2 0
36.13	12.5	0 1 3
36.29	13.8	2 2 0
37.92	13.7	4 0 0
40.98	13.7	2 1 3
42.59	33.4	2 2 2

Structure:
```
data_CsSeCl4
_cell_length_a 9.491
_cell_length_b 5.802
_cell_length_c 8.255
_cell_angle_alpha 90.00
_cell_angle_beta 90.00
_cell_angle_gamma 90.00
_space_group_name_H-M_alt 'P m n 21'
_space_group_IT_number 31
_space_group_name_Hall 'P 2ac -2'
loop_
_atom_site_label
_atom_site_fract_x
_atom_site_fract_y
_atom_site_fract_z
Cs1 0.000 0.243 0.000
Se1 0.000 0.705 0.543
Cl1 0.000 0.330 0.551
Cl2 0.000 0.741 0.259
Cl3 0.182 0.764 0.778
```